[1]
Diffraction record for CaGa2S4. The XRD peak list is simulated, not measured: it uses a PBE-relaxed structure and Cu Ka.
No peak broadening, texture or thermal motion is included.

Structure:
```
CaGa2S4
1.0
7.3226 0.0000 0.0000
0.0000 27.4097 0.0000
-2.2952 0.0000 6.5369
Ca Ga S
8 16 32
Direct
0.0438 0.1931 0.0971
0.0438 0.3069 0.5971
0.3268 0.5708 0.9422
0.3268 0.9292 0.4422
0.6732 0.0708 0.5578
0.6732 0.4292 0.0578
0.9562 0.6931 0.4029
0.9562 0.8069 0.9029
0.0152 0.0642 0.2333
0.0152 0.4358 0.7333
0.2708 0.0522 0.9474
0.2708 0.4478 0.4474
0.2904 0.1501 0.6317
0.2904 0.3499 0.1317
0.4502 0.7343 0.0824
0.4502 0.7657 0.5824
0.5498 0.2343 0.4176
0.5498 0.2657 0.9176
0.7096 0.6501 0.8683
0.7096 0.8499 0.3683
0.7292 0.5522 0.5526
0.7292 0.9478 0.0526
0.9848 0.5642 0.2667
0.9848 0.9358 0.7667
0.0104 0.5972 0.5847
0.0104 0.9028 0.0847
0.0208 0.6299 0.0716
0.0208 0.8701 0.5716
0.2162 0.5138 0.2358
0.2162 0.9862 0.7358
0.2430 0.7469 0.7552
0.2430 0.7531 0.2552
0.2618 0.2210 0.8063
0.2618 0.2790 0.3063
0.3140 0.0293 0.2831
0.3140 0.4707 0.7831
0.4276 0.1572 0.3727
0.4276 0.3428 0.8727
0.4910 0.0990 0.8641
0.4910 0.4010 0.3641
0.5090 0.5990 0.6359
0.5090 0.9010 0.1359
0.5724 0.6572 0.1273
0.5724 0.8428 0.6273
0.6860 0.5293 0.2169
0.6860 0.9707 0.7169
0.7382 0.7210 0.6937
0.7382 0.7790 0.1937
0.7570 0.2469 0.7448
0.7570 0.2531 0.2448
0.7838 0.0138 0.2642
0.7838 0.4862 0.7642
0.9792 0.1299 0.4284
0.9792 0.3701 0.9284
0.9896 0.0972 0.9153
0.9896 0.4028 0.4153
```

Largest 12 diffraction maxima, in order of falling intensity, 10 to 90 degrees two-theta:
two_theta  I/Imax
25.2  100
26.2  90
16.7  77
32.7  76
23.7  69
47.2  68
14.4  67
13.2  61
39.2  61
43.6  59
16.1  54
29.1  53


[2]
Diffraction record for CaGa2S4. The XRD peak list is simulated, not measured: it uses a PBE-relaxed structure and Cu Ka.
No peak broadening, texture or thermal motion is included.

Structure:
```
CaGa2S4
1.0
3.0161 -5.1018 0.0000
3.0161 5.1018 0.0000
0.0000 0.0000 10.2415
Ca Ga S
2 4 8
Direct
0.0000 0.0000 0.2500
0.0000 0.0000 0.7500
0.2628 0.7337 0.0000
0.2663 0.7372 0.5000
0.7337 0.2628 0.5000
0.7372 0.2663 0.0000
0.0000 0.5000 0.1700
0.0000 0.5000 0.8300
0.1474 0.3085 0.5000
0.3085 0.1474 0.0000
0.5000 0.0000 0.3300
0.5000 0.0000 0.6700
0.6915 0.8526 0.0000
0.8526 0.6915 0.5000
```

Largest 12 diffraction maxima, in order of falling intensity, 10 to 90 degrees two-theta:
two_theta  I/Imax
17.3  100
38.9  91
31.4  50
50.1  34
24.6  30
35.0  24
35.2  22
59.6  21
53.7  16
50.5  13
24.4  11
34.5  11


[3]
Diffraction record for Ca5Ga2Sb6. The XRD peak list is simulated, not measured: it uses a PBE-relaxed structure and Cu Ka.
No peak broadening, texture or thermal motion is included.

Structure:
```
Ca5Ga2Sb6
1.0
12.1657 0.0000 0.0000
0.0000 14.1063 0.0000
0.0000 0.0000 4.4957
Ca Ga Sb
10 4 12
Direct
0.0000 0.0000 0.0000
0.0916 0.2472 0.0000
0.1718 0.5167 0.0000
0.3282 0.0167 0.0000
0.4084 0.7472 0.0000
0.5000 0.5000 0.0000
0.5916 0.2528 0.0000
0.6718 0.9833 0.0000
0.8282 0.4833 0.0000
0.9084 0.7528 0.0000
0.1698 0.7116 0.5000
0.3302 0.2116 0.5000
0.6698 0.7884 0.5000
0.8302 0.2884 0.5000
0.0260 0.4000 0.5000
0.1549 0.0915 0.5000
0.1626 0.8230 0.0000
0.3374 0.3230 0.0000
0.3451 0.5915 0.5000
0.4740 0.9000 0.5000
0.5260 0.1000 0.5000
0.6549 0.4085 0.5000
0.6626 0.6770 0.0000
0.8374 0.1770 0.0000
0.8451 0.9085 0.5000
0.9740 0.6000 0.5000
```

Largest 12 diffraction maxima, in order of falling intensity, 10 to 90 degrees two-theta:
two_theta  I/Imax
24.6  100
31.2  82
44.0  66
40.1  60
44.2  57
30.4  56
22.8  44
23.9  44
43.4  40
35.4  37
32.3  33
29.1  33


[4]
Diffraction record for CaGa2Se4. The XRD peak list is simulated, not measured: it uses a PBE-relaxed structure and Cu Ka.
No peak broadening, texture or thermal motion is included.

Structure:
```
CaGa2Se4
1.0
0.0000 10.6474 10.6950
6.4191 0.0000 10.6950
6.4191 10.6474 0.0000
Ca Ga Se
8 16 32
Direct
0.1229 0.1229 0.6271
0.1250 0.1250 0.1250
0.3729 0.3729 0.8771
0.3750 0.3750 0.3750
0.6250 0.6250 0.6250
0.6271 0.6271 0.1229
0.8750 0.8750 0.8750
0.8771 0.8771 0.3729
0.0302 0.4695 0.8609
0.1117 0.3870 0.3656
0.1394 0.8609 0.4695
0.1391 0.8606 0.9698
0.3643 0.6344 0.6130
0.3656 0.6357 0.1117
0.3870 0.1117 0.6357
0.4695 0.0302 0.1394
0.5305 0.9698 0.8606
0.6130 0.8883 0.3643
0.6344 0.3643 0.8883
0.6357 0.3656 0.3870
0.8609 0.1394 0.0302
0.8606 0.1391 0.5305
0.8883 0.6130 0.6344
0.9698 0.5305 0.1391
0.0862 0.0888 0.4142
0.0883 0.5857 0.4112
0.0888 0.0862 0.9107
0.0893 0.5858 0.9112
0.1515 0.8457 0.6621
0.1543 0.8485 0.1592
0.1592 0.3379 0.1543
0.1818 0.3156 0.6504
0.3156 0.1818 0.3522
0.3379 0.1592 0.8485
0.3496 0.6478 0.8182
0.3522 0.6504 0.3156
0.4112 0.4148 0.0883
0.4142 0.9107 0.0862
0.4143 0.9117 0.5852
0.4148 0.4112 0.5857
0.5852 0.5888 0.4143
0.5857 0.0883 0.4148
0.5858 0.0893 0.9138
0.5888 0.5852 0.9117
0.6478 0.3496 0.6844
0.6504 0.3522 0.1818
0.6621 0.8408 0.1515
0.6844 0.8182 0.6478
0.8182 0.6844 0.3496
0.8408 0.6621 0.8457
0.8457 0.1515 0.8408
0.8485 0.1543 0.3379
0.9107 0.4142 0.0888
0.9112 0.9138 0.0893
0.9117 0.4143 0.5888
0.9138 0.9112 0.5858
```

Largest 12 diffraction maxima, in order of falling intensity, 10 to 90 degrees two-theta:
two_theta  I/Imax
36.8  100
30.0  82
29.9  81
16.6  77
52.0  37
50.5  33
33.5  31
50.5  24
51.9  24
47.5  23
51.2  21
33.7  21


[5]
Diffraction record for Ca2GaSi. The XRD peak list is simulated, not measured: it uses a PBE-relaxed structure and Cu Ka.
No peak broadening, texture or thermal motion is included.

Structure:
```
Ca2GaSi
1.0
4.1075 0.0000 0.0000
0.0000 2.2304 5.5322
0.0000 -2.2304 5.5322
Ca Ga Si
2 1 1
Direct
0.0000 0.0000 0.0000
0.5000 0.2808 0.2808
0.5000 0.5734 0.5734
0.0000 0.7104 0.7104
```

Largest 12 diffraction maxima, in order of falling intensity, 10 to 90 degrees two-theta:
two_theta  I/Imax
30.7  100
38.5  77
31.5  44
39.3  33
16.0  33
40.4  30
44.1  23
57.6  20
32.4  17
21.5  16
55.2  16
61.4  16


[6]
Diffraction record for Ca4GaSi3. The XRD peak list is simulated, not measured: it uses a PBE-relaxed structure and Cu Ka.
No peak broadening, texture or thermal motion is included.

Structure:
```
Ca4GaSi3
1.0
4.0184 0.0000 0.0000
0.0000 4.5009 0.0000
0.0000 0.0000 10.8355
Ca Ga Si
4 1 3
Direct
0.0000 0.0000 0.0000
0.0000 0.5000 0.4942
0.5000 0.0000 0.2732
0.5000 0.5000 0.7758
0.0000 0.0000 0.7052
0.0000 0.5000 0.2026
0.5000 0.0000 0.5637
0.5000 0.5000 0.0686
```

Largest 12 diffraction maxima, in order of falling intensity, 10 to 90 degrees two-theta:
two_theta  I/Imax
31.0  100
39.0  73
40.1  59
31.8  43
45.1  23
16.4  20
33.1  19
58.0  17
61.9  16
56.2  15
63.6  14
81.3  14


[7]
Diffraction record for Ca2GaSn. The XRD peak list is simulated, not measured: it uses a PBE-relaxed structure and Cu Ka.
No peak broadening, texture or thermal motion is included.

Structure:
```
Ca2GaSn
1.0
4.3790 0.0000 0.0000
0.0000 2.3104 5.6998
0.0000 -2.3104 5.6998
Ca Ga Sn
2 1 1
Direct
0.0000 0.0000 0.0000
0.5000 0.2768 0.2768
0.5000 0.5599 0.5599
0.0000 0.7127 0.7127
```

Largest 12 diffraction maxima, in order of falling intensity, 10 to 90 degrees two-theta:
two_theta  I/Imax
36.9  100
29.2  87
20.7  53
15.5  40
37.7  38
39.0  30
41.2  25
55.3  25
30.5  18
58.0  18
31.4  16
75.6  16


[8]
Diffraction record for CaGd2Ge4O12. The XRD peak list is simulated, not measured: it uses a PBE-relaxed structure and Cu Ka.
No peak broadening, texture or thermal motion is included.

Structure:
```
CaGd2Ge4O12
1.0
7.1828 -7.2139 0.0000
7.1828 7.2139 0.0000
0.0000 0.0000 5.1412
Ca Gd Ge O
2 4 8 24
Direct
0.0000 0.0000 0.0000
0.5000 0.5000 0.0000
0.0000 0.5000 0.0000
0.2500 0.2500 0.0000
0.5000 0.0000 0.0000
0.7500 0.7500 0.0000
0.0230 0.7514 0.5015
0.2486 0.9770 0.5015
0.2514 0.5230 0.5015
0.4770 0.7486 0.5015
0.5230 0.2514 0.4985
0.7486 0.4770 0.4985
0.7514 0.0230 0.4985
0.9770 0.2486 0.4985
0.0587 0.3262 0.7552
0.0637 0.1771 0.2448
0.1262 0.6262 0.6590
0.1293 0.8707 0.3433
0.1738 0.4413 0.2448
0.1771 0.0637 0.7552
0.3229 0.4363 0.7552
0.3262 0.0587 0.2448
0.3707 0.6293 0.3433
0.3738 0.8738 0.6590
0.4363 0.3229 0.2448
0.4413 0.1738 0.7552
0.5587 0.8262 0.2448
0.5637 0.6771 0.7552
0.6262 0.1262 0.3410
0.6293 0.3707 0.6567
0.6738 0.9413 0.7552
0.6771 0.5637 0.2448
0.8229 0.9363 0.2448
0.8262 0.5587 0.7552
0.8707 0.1293 0.6567
0.8738 0.3738 0.3410
0.9363 0.8229 0.7552
0.9413 0.6738 0.2448
```

Largest 12 diffraction maxima, in order of falling intensity, 10 to 90 degrees two-theta:
two_theta  I/Imax
30.3  100
21.2  36
12.3  27
50.5  26
35.3  24
59.8  14
27.7  14
60.2  12
60.3  12
45.1  11
49.0  11
34.9  10


[9]
Diffraction record for NaCaGdSeO6. The XRD peak list is simulated, not measured: it uses a PBE-relaxed structure and Cu Ka.
No peak broadening, texture or thermal motion is included.

Structure:
```
NaCaGdSeO6
1.0
0.0000 4.0265 4.0265
4.0265 0.0000 4.0265
4.0265 4.0265 0.0000
Na Ca Gd Se O
1 1 1 1 6
Direct
0.0000 0.0000 0.0000
0.5000 0.5000 0.5000
0.2500 0.2500 0.2500
0.7500 0.7500 0.7500
0.5250 0.5250 0.9750
0.5250 0.9750 0.5250
0.5250 0.9750 0.9750
0.9750 0.5250 0.5250
0.9750 0.5250 0.9750
0.9750 0.9750 0.5250
```

Largest 12 diffraction maxima, in order of falling intensity, 10 to 90 degrees two-theta:
two_theta  I/Imax
31.4  100
22.1  69
55.9  38
45.0  37
50.7  27
65.6  21
74.5  18
70.1  13
37.0  12
19.1  11
49.3  8
83.1  7